Record 1
Structure and theoretical X-ray diffraction stick pattern of PmTlTcO6 (a DFT-relaxed cell (PBE, Alexandria); a wavelength of 1.5418 Å).

Peak list (12 most intense, 2θ = 5–70°, by angle)
2θ = 25.95°, I 100.0
2θ = 31.55°, I 46.0
2θ = 37.46°, I 7.4
2θ = 41.26°, I 19.2
2θ = 41.36°, I 9.5
2θ = 49.70°, I 18.2
2θ = 49.82°, I 19.1
2θ = 52.86°, I 24.6
2θ = 56.19°, I 14.0
2θ = 60.83°, I 6.1
2θ = 65.88°, I 6.0
2θ = 69.42°, I 6.3

abc: 5.666 9.832 4.802
angles: 90.00 90.21 90.00
Space group C2 (No. 5)
Unique sites:
Pm: 0.000 0.000 0.000 (multiplicity 2)
Tl: 0.000 0.333 0.500 (multiplicity 2)
Tc: 0.000 0.667 0.000 (multiplicity 2)
O: 0.136 0.808 0.227 (multiplicity 4)
O: 0.145 0.529 0.227 (multiplicity 4)
O: 0.221 0.164 0.226 (multiplicity 4)

---

Record 2
Structure and theoretical X-ray diffraction stick pattern of PmZnTc2O8 (a DFT-relaxed cell (PBE, Alexandria); a wavelength of 1.5418 Å).

Peak list (12 most intense, 2θ = 5–70°, by angle)
2θ = 15.64°, I 3.1
2θ = 18.89°, I 4.1
2θ = 29.11°, I 100.0
2θ = 31.58°, I 14.3
2θ = 34.76°, I 17.9
2θ = 39.86°, I 3.1
2θ = 40.30°, I 3.6
2θ = 47.67°, I 30.8
2θ = 49.98°, I 14.4
2θ = 54.72°, I 16.7
2θ = 58.89°, I 26.7
2θ = 60.34°, I 10.8

abc: 5.161 5.161 11.332
angles: 90.00 90.00 90.00
Space group I-4 (No. 82)
Unique sites:
Pm: 0.000 0.000 0.000 (multiplicity 2)
Zn: 0.000 0.500 0.250 (multiplicity 2)
Tc: 0.000 0.000 0.500 (multiplicity 2)
Tc: 0.000 0.500 0.750 (multiplicity 2)
O: 0.162 0.254 0.414 (multiplicity 8)
O: 0.176 0.751 0.830 (multiplicity 8)

---

Record 3
Structure and theoretical X-ray diffraction stick pattern of Pm4Te2O3 (a DFT-relaxed cell (PBE, Alexandria); a wavelength of 1.5418 Å).

Peak list (12 most intense, 2θ = 5–70°, by angle)
2θ = 17.65°, I 21.8
2θ = 29.09°, I 88.2
2θ = 29.63°, I 100.0
2θ = 33.01°, I 46.2
2θ = 37.00°, I 28.8
2θ = 38.77°, I 19.5
2θ = 39.53°, I 67.9
2θ = 50.11°, I 22.9
2θ = 50.22°, I 22.7
2θ = 55.25°, I 18.3
2θ = 61.51°, I 20.1
2θ = 62.50°, I 29.0

abc: 6.439 6.459 20.095
angles: 90.00 90.00 90.00
Space group Fmmm (No. 69)
Unique sites:
Pm: 0.000 0.000 0.209 (multiplicity 8)
Pm: 0.250 0.250 0.000 (multiplicity 8)
Te: 0.000 0.000 0.383 (multiplicity 8)
O: 0.000 0.000 0.000 (multiplicity 4)
O: 0.250 0.250 0.250 (multiplicity 8)

---

Record 4
Structure and theoretical X-ray diffraction stick pattern of Pm3Te3O (a DFT-relaxed cell (PBE, Alexandria); a wavelength of 1.5418 Å).

Peak list (12 most intense, 2θ = 5–70°, by angle)
2θ = 24.85°, I 16.7
2θ = 25.67°, I 34.1
2θ = 28.91°, I 20.7
2θ = 29.51°, I 100.0
2θ = 31.63°, I 62.2
2θ = 32.92°, I 18.0
2θ = 33.65°, I 13.9
2θ = 34.99°, I 17.4
2θ = 36.04°, I 57.2
2θ = 38.96°, I 19.1
2θ = 43.16°, I 31.8
2θ = 66.30°, I 14.1

abc: 13.797 4.192 13.877
angles: 90.00 90.00 90.00
Space group Pnma (No. 62)
Unique sites:
Pm: 0.038 0.250 0.160 (multiplicity 4)
Pm: 0.057 0.250 0.630 (multiplicity 4)
Pm: 0.206 0.250 0.853 (multiplicity 4)
Te: 0.110 0.250 0.394 (multiplicity 4)
Te: 0.124 0.750 0.001 (multiplicity 4)
Te: 0.221 0.750 0.680 (multiplicity 4)
O: 0.040 0.250 0.795 (multiplicity 4)

---

Record 5
Structure and theoretical X-ray diffraction stick pattern of PmTe2O8 (a DFT-relaxed cell (PBE, Alexandria); a wavelength of 1.5418 Å).

Peak list (12 most intense, 2θ = 5–70°, by angle)
2θ = 15.80°, I 24.8
2θ = 22.54°, I 44.5
2θ = 24.59°, I 73.7
2θ = 24.95°, I 100.0
2θ = 28.18°, I 66.9
2θ = 35.59°, I 50.0
2θ = 37.74°, I 24.5
2θ = 40.81°, I 24.8
2θ = 43.08°, I 25.7
2θ = 44.53°, I 26.1
2θ = 47.96°, I 26.6
2θ = 52.31°, I 23.4

abc: 8.365 6.334 5.688
angles: 90.00 99.49 90.00
Space group C2/m (No. 12)
Unique sites:
Pm: 0.000 0.000 0.000 (multiplicity 2)
Te: 0.182 0.500 0.456 (multiplicity 4)
O: 0.058 0.500 0.720 (multiplicity 4)
O: 0.143 0.187 0.347 (multiplicity 8)
O: 0.223 0.000 0.822 (multiplicity 4)

---

Record 6
Structure and theoretical X-ray diffraction stick pattern of Pm5Te5O2 (a DFT-relaxed cell (PBE, Alexandria); a wavelength of 1.5418 Å).

Peak list (12 most intense, 2θ = 5–70°, by angle)
2θ = 25.38°, I 9.4
2θ = 29.33°, I 100.0
2θ = 31.76°, I 13.8
2θ = 32.47°, I 30.3
2θ = 32.80°, I 36.1
2θ = 34.23°, I 68.1
2θ = 39.27°, I 10.6
2θ = 42.19°, I 7.9
2θ = 44.52°, I 22.5
2θ = 53.28°, I 9.8
2θ = 56.17°, I 14.7
2θ = 56.39°, I 15.2

abc: 14.219 4.071 11.205
angles: 90.00 99.65 90.00
Space group C2/m (No. 12)
Unique sites:
Pm: 0.000 0.000 0.000 (multiplicity 2)
Pm: 0.102 0.000 0.337 (multiplicity 4)
Pm: 0.138 0.500 0.788 (multiplicity 4)
Te: 0.000 0.500 0.500 (multiplicity 2)
Te: 0.165 0.500 0.090 (multiplicity 4)
Te: 0.222 0.000 0.615 (multiplicity 4)
O: 0.042 0.000 0.803 (multiplicity 4)

---

Record 7
Structure and theoretical X-ray diffraction stick pattern of Pm2TlTeO8 (a DFT-relaxed cell (PBE, Alexandria); a wavelength of 1.5418 Å).

Peak list (12 most intense, 2θ = 5–70°, by angle)
2θ = 24.96°, I 98.3
2θ = 26.90°, I 60.5
2θ = 29.62°, I 100.0
2θ = 30.56°, I 88.4
2θ = 36.93°, I 19.2
2θ = 37.11°, I 18.9
2θ = 46.90°, I 16.6
2θ = 47.01°, I 16.4
2θ = 47.55°, I 17.3
2θ = 47.65°, I 17.0
2θ = 48.53°, I 30.0
2θ = 55.31°, I 22.4

abc: 4.861 4.883 7.513
angles: 91.69 91.67 94.16
Space group P-1 (No. 2)
Unique sites:
Pm: 0.051 0.050 0.257 (multiplicity 2)
Tl: 0.500 0.500 0.000 (multiplicity 1)
Te: 0.500 0.500 0.500 (multiplicity 1)
O: 0.196 0.197 0.979 (multiplicity 2)
O: 0.213 0.217 0.542 (multiplicity 2)
O: 0.264 0.625 0.307 (multiplicity 2)
O: 0.376 0.738 0.692 (multiplicity 2)

---

Record 8
Structure and theoretical X-ray diffraction stick pattern of PmZnTeO6 (a DFT-relaxed cell (PBE, Alexandria); a wavelength of 1.5418 Å).

Peak list (12 most intense, 2θ = 5–70°, by angle)
2θ = 17.49°, I 3.7
2θ = 21.36°, I 7.2
2θ = 26.28°, I 100.0
2θ = 34.05°, I 36.2
2θ = 35.41°, I 7.8
2θ = 38.53°, I 4.6
2θ = 43.52°, I 24.3
2θ = 49.94°, I 40.9
2θ = 56.38°, I 23.4
2θ = 58.22°, I 10.2
2θ = 60.94°, I 12.8
2θ = 69.19°, I 6.7

abc: 5.2663 5.2663 10.1403
angles: 90.00 90.00 120.00
Space group P-31c (No. 163)
Unique sites:
Pm: 0.0000 0.0000 0.0000 (multiplicity 2)
Zn: 0.3333 0.6667 0.2500 (multiplicity 2)
Te: 0.3333 0.6667 0.7500 (multiplicity 2)
O: 0.0198 0.3742 0.6406 (multiplicity 12)

---

Record 9
Structure and theoretical X-ray diffraction stick pattern of PmZn2TeO8 (a DFT-relaxed cell (PBE, Alexandria); a wavelength of 1.5418 Å).

Peak list (12 most intense, 2θ = 5–70°, by angle)
2θ = 18.57°, I 25.9
2θ = 25.69°, I 100.0
2θ = 32.74°, I 74.8
2θ = 36.65°, I 21.7
2θ = 41.39°, I 8.4
2θ = 49.95°, I 64.3
2θ = 52.80°, I 15.6
2θ = 55.78°, I 6.9
2θ = 59.62°, I 13.8
2θ = 62.39°, I 15.5
2θ = 63.53°, I 19.4
2θ = 68.61°, I 9.1

abc: 6.935 6.935 6.592
angles: 90.00 90.00 90.00
Space group I-4m2 (No. 119)
Unique sites:
Pm: 0.000 0.000 0.000 (multiplicity 2)
Zn: 0.000 0.000 0.500 (multiplicity 2)
Zn: 0.000 0.500 0.250 (multiplicity 2)
Te: 0.000 0.500 0.750 (multiplicity 2)
O: 0.000 0.210 0.700 (multiplicity 8)
O: 0.000 0.336 0.019 (multiplicity 8)

---

Record 10
Structure and theoretical X-ray diffraction stick pattern of PmTh4O10 (a DFT-relaxed cell (PBE, Alexandria); a wavelength of 1.5418 Å).

Peak list (8 most intense, 2θ = 5–70°, by angle)
2θ = 5.45°, I 3.7
2θ = 10.92°, I 1.0
2θ = 27.50°, I 100.0
2θ = 31.85°, I 35.9
2θ = 45.67°, I 51.0
2θ = 54.14°, I 47.6
2θ = 56.76°, I 10.5
2θ = 66.57°, I 8.1

abc: 3.9744 3.9744 48.6208
angles: 90.00 90.00 120.00
Space group R-3m (No. 166, hexagonal axes)
Unique sites:
Pm: 0.0000 0.0000 0.0000 (multiplicity 3)
Th: 0.0000 0.0000 0.2001 (multiplicity 6)
Th: 0.0000 0.0000 0.3995 (multiplicity 6)
O: 0.0000 0.0000 0.0509 (multiplicity 6)
O: 0.0000 0.0000 0.1500 (multiplicity 6)
O: 0.0000 0.0000 0.2499 (multiplicity 6)
O: 0.0000 0.0000 0.3507 (multiplicity 6)
O: 0.0000 0.0000 0.4501 (multiplicity 6)

---

Record 11
Structure and theoretical X-ray diffraction stick pattern of PmTh3O8 (a DFT-relaxed cell (PBE, Alexandria); a wavelength of 1.5418 Å).

Peak list (12 most intense, 2θ = 5–70°, by angle)
2θ = 15.79°, I 2.3
2θ = 22.40°, I 2.0
2θ = 27.52°, I 100.0
2θ = 31.88°, I 35.7
2θ = 35.76°, I 1.3
2θ = 39.31°, I 1.0
2θ = 45.71°, I 51.2
2θ = 48.66°, I 0.7
2θ = 54.19°, I 47.5
2θ = 56.81°, I 10.4
2θ = 61.84°, I 0.6
2θ = 66.64°, I 8.1

abc: 5.614 5.614 5.614
angles: 90.00 90.00 90.00
Space group Pm-3m (No. 221)
Unique sites:
Pm: 0.000 0.000 0.000 (multiplicity 1)
Th: 0.000 0.500 0.500 (multiplicity 3)
O: 0.252 0.252 0.252 (multiplicity 8)

---

Record 12
Structure and theoretical X-ray diffraction stick pattern of Pm3Ti2O8 (a DFT-relaxed cell (PBE, Alexandria); a wavelength of 1.5418 Å).

Peak list (12 most intense, 2θ = 5–70°, by angle)
2θ = 17.01°, I 75.0
2θ = 24.11°, I 72.6
2θ = 26.45°, I 44.9
2θ = 29.14°, I 47.3
2θ = 29.72°, I 27.0
2θ = 30.80°, I 100.0
2θ = 32.36°, I 42.3
2θ = 32.83°, I 45.9
2θ = 33.08°, I 27.5
2θ = 38.22°, I 33.6
2θ = 54.46°, I 37.0
2θ = 56.38°, I 42.5

abc: 6.991 12.745 9.055
angles: 90.00 90.00 90.00
Space group Cmce (No. 64)
Unique sites:
Pm: 0.000 0.000 0.000 (multiplicity 4)
Pm: 0.250 0.161 0.250 (multiplicity 8)
Ti: 0.000 0.102 0.616 (multiplicity 8)
O: 0.000 0.019 0.258 (multiplicity 8)
O: 0.000 0.222 0.731 (multiplicity 8)
O: 0.221 0.114 0.504 (multiplicity 16)